For Sm6Ge3S14, a DFT-relaxed cell (PBE, the Materials Project) gives the computed powder diffractogram in this record (Cu Kα (weighted mean of Kα1 and Kα2)).

Principal peaks in the range 10° ≤ 2θ ≤ 90°, by angle:
2θ = 20.19°, I = 27, (2 0 0); 2θ = 23.34°, I = 34, (2 -1 1); 2θ = 25.47°, I = 100, (0 2 1); 2θ = 26.81°, I = 24, (1 2 0); 2θ = 31.04°, I = 26, (0 0 2); 2θ = 35.34°, I = 38, (2 2 0); 2θ = 36.83°, I = 37, (1 3 0); 2θ = 37.30°, I = 36, (2 0 2); 2θ = 40.13°, I = 34, (3 1 1); 2θ = 41.46°, I = 26, (1 2 2)

Cell: 10.1592 10.1592 5.7632 Å, 90.00 90.00 120.00°
Space group P3 (No. 143)
Unique sites:
Sm 0.0252 0.5648 0.0000 x3
Sm 0.3088 0.1021 0.5054 x3
Ge 0.0000 0.0000 0.9226 x1
Ge 0.3333 0.6667 0.4190 x1
Ge 0.6667 0.3333 0.2658 x1
S 0.0000 0.0000 0.3033 x1
S 0.0805 0.8509 0.7625 x3
S 0.1844 0.4372 0.2600 x3
S 0.3333 0.6667 0.8007 x1
S 0.4096 0.1693 0.0248 x3
S 0.5000 0.4243 0.5166 x3